No. 1
This entry pairs a crystal structure of TmUSe3 with its computed powder XRD pattern. Radiation: Cu Kα X-rays. Structure: DFT lattice parameters and positions (GGA-PBE).
Neutral-atom scattering factors, no anomalous dispersion.

Atomic structure:
Lattice parameters (Å, degrees): 6.866 6.866 9.880 90.00 90.00 146.64
Sites, in units of the cell vectors:
Tm: 0.000 0.000 0.000
Tm: 0.000 0.000 0.500
U: 0.250 0.750 0.750
U: 0.750 0.250 0.250
Se: 0.091 0.909 0.250
Se: 0.354 0.646 0.066
Se: 0.354 0.646 0.434
Se: 0.646 0.354 0.566
Se: 0.646 0.354 0.934
Se: 0.909 0.091 0.750

Main lines, low angle first (2θ from 10° to 90°):
2θ 22.51, I 100
2θ 30.49, I 39
2θ 31.84, I 84
2θ 35.61, I 45
2θ 36.19, I 50
2θ 36.37, I 29
2θ 45.27, I 63
2θ 46.05, I 28
2θ 56.14, I 30
2θ 66.54, I 28

No. 2
This entry pairs a crystal structure of Zr3As4Pd3 with its computed powder XRD pattern. Radiation: Cu Kα X-rays. Structure: DFT lattice parameters and positions (GGA-PBE).
Neutral-atom scattering factors, no anomalous dispersion.

Atomic structure:
Lattice parameters (Å, degrees): 7.830 7.830 7.830 109.47 109.47 109.47
Sites, in units of the cell vectors:
Zr: 0.125 0.875 0.250
Zr: 0.250 0.125 0.875
Zr: 0.375 0.625 0.750
Zr: 0.625 0.750 0.375
Zr: 0.750 0.375 0.625
Zr: 0.875 0.250 0.125
As: 0.000 0.183 0.500
As: 0.000 0.683 0.500
As: 0.183 0.500 0.000
As: 0.317 0.317 0.317
As: 0.500 0.000 0.183
As: 0.500 0.000 0.683
As: 0.683 0.500 0.000
As: 0.817 0.817 0.817
Pd: 0.125 0.750 0.875
Pd: 0.250 0.625 0.375
Pd: 0.375 0.250 0.625
Pd: 0.625 0.375 0.250
Pd: 0.750 0.875 0.125
Pd: 0.875 0.125 0.750

Main lines, low angle first (2θ from 10° to 90°):
2θ 24.11, I 16
2θ 27.91, I 11
2θ 37.21, I 100
2θ 44.83, I 42
2θ 49.38, I 13
2θ 51.54, I 9
2θ 55.68, I 16
2θ 65.27, I 9
2θ 70.66, I 10
2θ 72.42, I 10

No. 3
This entry pairs a crystal structure of Ho2Ni2C3N with its computed powder XRD pattern. Radiation: Cu Kα X-rays. Structure: DFT lattice parameters and positions (GGA-PBE).
Neutral-atom scattering factors, no anomalous dispersion.

Atomic structure:
Lattice parameters (Å, degrees): 3.483 3.483 7.357 90.00 90.00 90.00
Sites, in units of the cell vectors:
Ho: 0.000 0.000 0.000
Ho: 0.500 0.500 0.337
Ni: 0.000 0.500 0.661
Ni: 0.500 0.000 0.661
C: 0.000 0.000 0.506
C: 0.500 0.500 0.016
C: 0.500 0.500 0.827
N: 0.000 0.000 0.318

Main lines, low angle first (2θ from 10° to 90°):
2θ 28.35, I 100
2θ 35.49, I 71
2θ 36.49, I 25
2θ 36.64, I 45
2θ 38.55, I 64
2θ 44.26, I 50
2θ 52.55, I 37
2θ 60.79, I 26
2θ 65.03, I 25
2θ 65.77, I 32

No. 4
This entry pairs a crystal structure of SmS2I2 with its computed powder XRD pattern. Radiation: Cu Kα X-rays. Structure: DFT lattice parameters and positions (GGA-PBE).
Neutral-atom scattering factors, no anomalous dispersion.

Atomic structure:
Lattice parameters (Å, degrees): 8.072 8.072 8.261 99.58 98.68 119.06
Sites, in units of the cell vectors:
Sm: 0.168 0.332 0.000
Sm: 0.832 0.668 0.000
S: 0.089 0.591 0.219
S: 0.219 0.720 0.051
S: 0.781 0.280 0.949
S: 0.911 0.409 0.781
I: 0.022 0.078 0.257
I: 0.425 0.475 0.743
I: 0.575 0.525 0.257
I: 0.978 0.922 0.743

Main lines, low angle first (2θ from 10° to 90°):
2θ 11.28, I 72
2θ 12.72, I 100
2θ 13.04, I 51
2θ 22.32, I 21
2θ 26.57, I 24
2θ 26.77, I 60
2θ 29.67, I 21
2θ 29.80, I 21
2θ 34.59, I 21
2θ 46.31, I 22